(1)
Structure and calculated X-ray diffraction stick pattern of LaWN3 (a DFT-relaxed cell (PBE, the Materials Project); Cu Kα (λ = 1.5418 Å)).
Kinematic intensities with the Lorentz-polarization factor, no thermal factor.

Structure:
Lattice parameters (Å, degrees): 5.868 3.888 8.037 90.00 109.30 90.00
Fractional coordinates of all 10 atoms:
La1 0.244 0.250 0.186
La2 0.756 0.750 0.814
W1 0.143 0.250 0.669
W2 0.857 0.750 0.331
N1 0.025 0.750 0.609
N2 0.041 0.250 0.866
N3 0.469 0.250 0.739
N4 0.531 0.750 0.261
N5 0.959 0.750 0.134
N6 0.975 0.250 0.391

Peak list (6 most intense, 10° ≤ 2θ ≤ 80°, in order of rising 2θ)
2θ (°)  I_rel
16.00  42
23.46  40
28.04  100
32.73  30
32.99  42
33.14  75


(2)
Structure and calculated X-ray diffraction stick pattern of CuTeO4 (a DFT-relaxed cell (PBE, the Materials Project); Cu Kα (λ = 1.5418 Å)).
Kinematic intensities with the Lorentz-polarization factor, no thermal factor.

Structure:
Lattice parameters (Å, degrees): 5.127 3.031 5.127 90.00 103.92 90.00
Fractional coordinates of all 6 atoms:
Cu1 0.000 0.000 0.000
Te1 0.500 0.500 0.500
O1 0.192 0.500 0.190
O2 0.337 0.000 0.662
O3 0.663 0.000 0.338
O4 0.808 0.500 0.810

Peak list (6 most intense, 10° ≤ 2θ ≤ 80°, in order of rising 2θ)
2θ (°)  I_rel
22.01  100
28.25  48
34.65  73
36.10  29
47.40  50
54.24  31


(3)
Structure and calculated X-ray diffraction stick pattern of NaPr2RuO6 (a DFT-relaxed cell (PBE, the Materials Project); Cu Kα (λ = 1.5418 Å)).
Kinematic intensities with the Lorentz-polarization factor, no thermal factor.

Structure:
Lattice parameters (Å, degrees): 5.584 6.002 9.722 90.00 124.21 90.00
Fractional coordinates of all 20 atoms:
Na1 0.000 0.000 0.000
Na2 0.000 0.500 0.500
Pr1 0.227 0.072 0.747
Pr2 0.227 0.428 0.247
Pr3 0.773 0.572 0.753
Pr4 0.773 0.928 0.253
Ru1 0.500 0.000 0.500
Ru2 0.500 0.500 0.000
O1 0.157 0.173 0.449
O2 0.157 0.327 0.949
O3 0.268 0.719 0.433
O4 0.268 0.781 0.933
O5 0.386 0.048 0.269
O6 0.386 0.452 0.769
O7 0.614 0.548 0.231
O8 0.614 0.952 0.731
O9 0.732 0.219 0.067
O10 0.732 0.281 0.567
O11 0.843 0.673 0.051
O12 0.843 0.827 0.551

Peak list (6 most intense, 10° ≤ 2θ ≤ 80°, in order of rising 2θ)
2θ (°)  I_rel
29.77  36
31.03  100
31.38  98
32.06  48
44.32  33
56.89  34


(4)
Structure and calculated X-ray diffraction stick pattern of SrLiAlO3 (a DFT-relaxed cell (PBE, the Materials Project); Cu Kα (λ = 1.5418 Å)).
Kinematic intensities with the Lorentz-polarization factor, no thermal factor.

Structure:
Lattice parameters (Å, degrees): 3.691 3.691 5.012 90.00 90.00 90.00
Fractional coordinates of all 6 atoms:
Sr1 0.000 0.000 0.000
Li1 0.000 0.000 0.500
Al1 0.500 0.500 0.500
O1 0.000 0.500 0.500
O2 0.500 0.000 0.500
O3 0.500 0.500 0.000

Peak list (6 most intense, 10° ≤ 2θ ≤ 80°, in order of rising 2θ)
2θ (°)  I_rel
30.07  100
34.36  43
35.84  52
38.90  63
49.38  38
62.50  35


(5)
Structure and calculated X-ray diffraction stick pattern of CdGeP2 (a DFT-relaxed cell (PBE, the Materials Project); Cu Kα (λ = 1.5418 Å)).
Kinematic intensities with the Lorentz-polarization factor, no thermal factor.

Structure:
Lattice parameters (Å, degrees): 4.717 4.717 4.717 60.00 60.00 60.00
Fractional coordinates of all 4 atoms:
Cd1 0.000 0.000 0.000
Ge1 0.500 0.500 0.500
P1 0.250 0.250 0.250
P2 0.750 0.750 0.750

Peak list (6 most intense, 10° ≤ 2θ ≤ 80°, in order of rising 2θ)
2θ (°)  I_rel
26.73  33
38.16  100
47.20  10
55.07  16
62.25  12
68.97  33


(6)
Structure and calculated X-ray diffraction stick pattern of LiHfMg14O15 (a DFT-relaxed cell (PBE, the Materials Project); Cu Kα (λ = 1.5418 Å)).
Kinematic intensities with the Lorentz-polarization factor, no thermal factor.

Structure:
Lattice parameters (Å, degrees): 4.293 8.613 8.568 90.00 90.00 90.00
Fractional coordinates of all 31 atoms:
Li1 0.000 0.000 0.000
Hf1 0.000 0.500 0.992
Mg1 0.000 0.000 0.500
Mg2 0.000 0.239 0.746
Mg3 0.000 0.242 0.253
Mg4 0.000 0.500 0.500
Mg5 0.000 0.758 0.253
Mg6 0.000 0.761 0.746
Mg7 0.500 0.000 0.246
Mg8 0.500 0.000 0.754
Mg9 0.500 0.234 0.999
Mg10 0.500 0.247 0.501
Mg11 0.500 0.500 0.256
Mg12 0.500 0.500 0.747
Mg13 0.500 0.753 0.501
Mg14 0.500 0.766 0.999
O1 0.000 0.000 0.257
O2 0.000 0.000 0.743
O3 0.000 0.252 0.500
O4 0.000 0.259 0.000
O5 0.000 0.500 0.254
O6 0.000 0.741 0.000
O7 0.000 0.748 0.500
O8 0.500 0.000 0.001
O9 0.500 0.000 0.499
O10 0.500 0.245 0.750
O11 0.500 0.251 0.249
O12 0.500 0.500 0.005
O13 0.500 0.500 0.500
O14 0.500 0.749 0.249
O15 0.500 0.755 0.750

Peak list (6 most intense, 10° ≤ 2θ ≤ 80°, in order of rising 2θ)
2θ (°)  I_rel
10.29  83
14.58  63
23.16  74
41.96  50
42.14  100
60.98  58


(7)
Structure and calculated X-ray diffraction stick pattern of SnPO3F (a DFT-relaxed cell (PBE, the Materials Project); Cu Kα (λ = 1.5418 Å)).
Kinematic intensities with the Lorentz-polarization factor, no thermal factor.

Structure:
Lattice parameters (Å, degrees): 4.793 13.113 6.404 90.00 100.24 90.00
Fractional coordinates of all 24 atoms:
Sn1 0.031 0.131 0.287
Sn2 0.031 0.369 0.787
Sn3 0.969 0.631 0.213
Sn4 0.969 0.869 0.713
P1 0.384 0.649 0.836
P2 0.384 0.851 0.336
P3 0.616 0.149 0.664
P4 0.616 0.351 0.164
O1 0.196 0.726 0.699
O2 0.196 0.774 0.199
O3 0.234 0.583 0.979
O4 0.234 0.917 0.479
O5 0.332 0.194 0.555
O6 0.332 0.306 0.055
O7 0.668 0.694 0.945
O8 0.668 0.806 0.445
O9 0.766 0.083 0.521
O10 0.766 0.417 0.021
O11 0.804 0.226 0.801
O12 0.804 0.274 0.301
F1 0.464 0.570 0.666
F2 0.464 0.930 0.166
F3 0.536 0.070 0.834
F4 0.536 0.430 0.334

Peak list (6 most intense, 10° ≤ 2θ ≤ 80°, in order of rising 2θ)
2θ (°)  I_rel
15.60  26
19.54  39
25.42  100
27.20  42
28.32  26
28.98  87


(8)
Structure and calculated X-ray diffraction stick pattern of Nd3SbO7 (a DFT-relaxed cell (PBE, the Materials Project); Cu Kα (λ = 1.5418 Å)).
Kinematic intensities with the Lorentz-polarization factor, no thermal factor.

Structure:
Lattice parameters (Å, degrees): 6.695 6.695 7.770 90.00 90.00 109.61
Fractional coordinates of all 22 atoms:
Nd1 0.000 0.000 0.000
Nd2 0.000 0.000 0.500
Nd3 0.033 0.499 0.750
Nd4 0.499 0.033 0.250
Nd5 0.501 0.967 0.750
Nd6 0.967 0.501 0.250
Sb1 0.500 0.500 0.000
Sb2 0.500 0.500 0.500
O1 0.130 0.870 0.250
O2 0.135 0.865 0.750
O3 0.186 0.431 0.027
O4 0.186 0.431 0.473
O5 0.431 0.186 0.527
O6 0.431 0.186 0.973
O7 0.438 0.562 0.750
O8 0.562 0.438 0.250
O9 0.569 0.814 0.027
O10 0.569 0.814 0.473
O11 0.814 0.569 0.527
O12 0.814 0.569 0.973
O13 0.865 0.135 0.250
O14 0.870 0.130 0.750

Peak list (6 most intense, 10° ≤ 2θ ≤ 80°, in order of rising 2θ)
2θ (°)  I_rel
28.17  98
28.30  100
32.72  66
46.95  58
55.56  30
55.79  26